Structure and theoretical powder diffraction line list of La4CuN (a PBE-relaxed structure; Cu Ka).
Kinematic intensities with the Lorentz-polarization factor, no thermal factor.

Structure:
a = 9.4959 Å, b = 6.9484 Å, c = 5.3759 Å
α = 90.00°, β = 90.00°, γ = 90.00°
Atoms (fractional coordinates):
La 0.0000 0.1330 0.9997
La 0.0000 0.7920 0.5000
La 0.2088 0.2993 0.4996
La 0.2912 0.7007 0.9996
La 0.5000 0.2080 0.0000
La 0.5000 0.8670 0.4997
La 0.7088 0.7007 0.9996
La 0.7912 0.2993 0.4996
Cu 0.0000 0.5476 0.0011
Cu 0.5000 0.4524 0.5011
N 0.0000 0.1251 0.5009
N 0.5000 0.8749 0.0009

Principal peaks in the range 10° ≤ 2θ ≤ 90°, by angle:
index  d [Å]  two_theta  Rel. int.
2 1 1  3.167  28.17  1000
0 2 1  2.918  30.64  331
1 2 1  2.789  32.09  186
0 0 2  2.688  33.33  347
2 3 0  2.082  43.47  169
2 3 2  1.646  55.86  159


Structure and theoretical powder diffraction line list of LaCu2N2 (a PBE-relaxed structure; Cu Ka).
Kinematic intensities with the Lorentz-polarization factor, no thermal factor.

Structure:
a = 3.4536 Å, b = 3.4536 Å, c = 10.5179 Å
α = 90.00°, β = 90.00°, γ = 90.00°
Atoms (fractional coordinates):
La 0.0000 0.0000 0.0000
La 0.5000 0.5000 0.5000
Cu 0.0000 0.5000 0.2500
Cu 0.0000 0.5000 0.7500
Cu 0.5000 0.0000 0.2500
Cu 0.5000 0.0000 0.7500
N 0.0000 0.0000 0.3682
N 0.0000 0.0000 0.6318
N 0.5000 0.5000 0.1318
N 0.5000 0.5000 0.8682

Principal peaks in the range 10° ≤ 2θ ≤ 90°, by angle:
index  d [Å]  two_theta  Rel. int.
1 0 1  3.281  27.18  543
0 0 4  2.629  34.10  340
1 0 3  2.460  36.52  454
1 1 2  2.215  40.74  1000
2 0 0  1.727  53.03  269
1 1 6  1.424  65.55  244


Structure and theoretical powder diffraction line list of LaCuPN (a PBE-relaxed structure; Cu Ka).
Kinematic intensities with the Lorentz-polarization factor, no thermal factor.

Structure:
a = 3.9323 Å, b = 3.8138 Å, c = 4.8356 Å
α = 90.00°, β = 111.29°, γ = 90.00°
Atoms (fractional coordinates):
La 0.0000 0.0000 0.0000
Cu 0.7452 0.5000 0.4184
P 0.3381 0.5000 0.6356
N 0.4311 0.5000 0.0101

Principal peaks in the range 10° ≤ 2θ ≤ 90°, by angle:
index  d [Å]  two_theta  Rel. int.
1 0 0  3.664  24.29  263
0 1 1  2.911  30.71  1000
1 1 0  2.642  33.93  542
1 1 -1  2.595  34.57  658
1 0 1  2.442  36.81  292
1 0 -2  2.334  38.57  291


Structure and theoretical powder diffraction line list of NaLaTi8Cu6O24 (a PBE-relaxed structure; Cu Ka).
Kinematic intensities with the Lorentz-polarization factor, no thermal factor.

Structure:
a = 7.4744 Å, b = 7.4744 Å, c = 7.4744 Å
α = 90.00°, β = 90.00°, γ = 90.00°
Atoms (fractional coordinates):
Na 0.0000 0.0000 0.0000
La 0.5000 0.5000 0.5000
Ti 0.2454 0.2454 0.2454
Ti 0.2454 0.2454 0.7546
Ti 0.2454 0.7546 0.2454
Ti 0.2454 0.7546 0.7546
Ti 0.7546 0.2454 0.2454
Ti 0.7546 0.2454 0.7546
Ti 0.7546 0.7546 0.2454
Ti 0.7546 0.7546 0.7546
Cu 0.0000 0.0000 0.5000
Cu 0.0000 0.5000 0.0000
Cu 0.0000 0.5000 0.5000
Cu 0.5000 0.0000 0.0000
Cu 0.5000 0.0000 0.5000
Cu 0.5000 0.5000 0.0000
O 0.0000 0.3063 0.1785
O 0.0000 0.3063 0.8215
O 0.0000 0.6937 0.1785
O 0.0000 0.6937 0.8215
O 0.1785 0.0000 0.3063
O 0.1785 0.0000 0.6937
O 0.1978 0.3216 0.5000
O 0.1978 0.6784 0.5000
O 0.3063 0.1785 0.0000
O 0.3063 0.8215 0.0000
O 0.3216 0.5000 0.1978
O 0.3216 0.5000 0.8022
O 0.5000 0.1978 0.3216
O 0.5000 0.1978 0.6784
O 0.5000 0.8022 0.3216
O 0.5000 0.8022 0.6784
O 0.6784 0.5000 0.1978
O 0.6784 0.5000 0.8022
O 0.6937 0.1785 0.0000
O 0.6937 0.8215 0.0000
O 0.8022 0.3216 0.5000
O 0.8022 0.6784 0.5000
O 0.8215 0.0000 0.3063
O 0.8215 0.0000 0.6937

Principal peaks in the range 10° ≤ 2θ ≤ 90°, by angle:
index  d [Å]  two_theta  Rel. int.
1 0 0  7.474  11.84  90
2 2 0  2.643  33.92  1000
4 0 0  1.869  48.73  282
4 2 2  1.526  60.70  491
4 4 0  1.321  71.39  127
6 2 0  1.182  81.43  156